# Pm2ScAlO6
Theoretical powder X-ray diffraction pattern, Cu Kα (weighted mean of Kα1 and Kα2). Input: a cell relaxed with PBE.
No peak broadening, texture or thermal motion is included.

Most intense lines, 2θ = 15–90°, in order of rising 2θ:
hkl, two_theta, Rel. int.
0 0 2, 22.74, 100
1 1 -2, 25.46, 25
0 2 0, 31.88, 33
1 1 1, 32.32, 81
1 1 -3, 32.46, 81
2 0 -2, 32.81, 39
0 2 2, 39.54, 26
2 2 -2, 46.40, 37
1 3 -2, 53.04, 26
3 1 -1, 58.21, 26

Structural model:
```
20
Lattice="5.459 0.000 0.000 0.000 5.614 0.000 -5.416 0.000 7.809" Properties=species:S:1:pos:R:3 pbc="T T T"
Pm -0.062 0.286 1.950
Pm -2.770 2.521 5.855
Pm 2.813 3.093 1.954
Pm 0.105 5.328 5.859
Sc 2.729 0.000 0.000
Sc 0.022 2.807 3.904
Al -2.708 0.000 3.904
Al 0.000 2.807 0.000
O -4.353 1.212 7.413
O -1.645 1.595 3.509
O -3.876 3.910 7.433
O -1.168 4.511 3.529
O -2.192 0.157 5.770
O 0.516 2.651 1.866
O -0.473 2.964 5.943
O 2.235 5.458 2.039
O 1.211 1.103 4.280
O 3.919 1.704 0.376
O 1.688 4.019 4.300
O 4.396 4.403 0.396
```